For BaNi2P2, the GGA-PBE geometry in Alexandria gives the computed X-ray powder pattern in this record (Cu Kα X-rays).

Top 10 peaks for 15° ≤ 2θ ≤ 90°, by intensity:
| two_theta | I/Imax | index |
| --- | --- | --- |
| 35.5 | 100.0 | 1 1 2 |
| 31.9 | 88.9 | 1 0 3 |
| 23.7 | 46.9 | 1 0 1 |
| 56.6 | 45.0 | 1 1 6 |
| 46.0 | 43.4 | 2 0 0 |
| 29.8 | 35.1 | 0 0 4 |
| 57.1 | 32.0 | 2 1 3 |
| 55.8 | 23.2 | 2 0 4 |
| 78.3 | 18.7 | 3 1 2 |
| 67.1 | 13.5 | 2 2 0 |

Structure:
```
BaNi2P2
1.0
3.945 0.000 0.000
0.000 3.945 0.000
0.000 0.000 11.994
Ba Ni P
2 4 4
Direct
0.000 0.000 0.000
0.500 0.500 0.500
0.000 0.500 0.250
0.000 0.500 0.750
0.500 0.000 0.250
0.500 0.000 0.750
0.000 0.000 0.341
0.000 0.000 0.659
0.500 0.500 0.159
0.500 0.500 0.841
```